For LaDy8Tm6, a cell relaxed with PBE gives the simulated XRD peak list in this record (CuKα).

Structural model:
a b c (Å): 9.3960 9.3960 6.4440
angles (deg): 90.00 90.00 120.00
Positions (direct):
La: 0.0000 0.0000 0.0000
Dy: 0.0259 0.3397 0.4065
Dy: 0.3138 0.9741 0.4065
Dy: 0.3333 0.6667 0.6714
Dy: 0.3397 0.3138 0.5935
Dy: 0.6603 0.6862 0.4065
Dy: 0.6667 0.3333 0.3286
Dy: 0.6862 0.0259 0.5935
Dy: 0.9741 0.6603 0.5935
Tm: 0.0978 0.6797 0.0908
Tm: 0.3203 0.4180 0.0908
Tm: 0.4180 0.0978 0.9092
Tm: 0.5820 0.9022 0.0908
Tm: 0.6797 0.5820 0.9092
Tm: 0.9022 0.3203 0.9092

Largest 10 diffraction maxima, in order of rising 2θ, 2θ from 10° to 90°:
2θ (°)	I_rel
25.9	39
29.0	18
29.8	18
32.3	100
33.0	70
33.7	99
50.9	25
53.5	19
60.8	25
65.5	16


For MnMo2Au, a cell relaxed with PBE gives the simulated XRD peak list in this record (CuKα).

Structural model:
a b c (Å): 2.7374 2.7374 8.7569
angles (deg): 90.00 90.00 106.64
Positions (direct):
Mn: 0.0000 0.0000 0.0000
Mo: 0.0000 0.0000 0.5223
Mo: 0.5000 0.5000 0.7711
Au: 0.5000 0.5000 0.2513

Largest 10 diffraction maxima, in order of rising 2θ, 2θ from 10° to 90°:
2θ (°)	I_rel
10.1	23
20.3	14
35.7	11
40.1	100
41.1	24
41.2	22
59.6	14
72.1	17
74.2	16
74.4	14


For Ba4Ca4Tl3Cu6O19, a cell relaxed with PBE gives the simulated XRD peak list in this record (CuKα).

Structural model:
a b c (Å): 34.8064 34.8064 34.8064
angles (deg): 173.64 173.64 8.99
Positions (direct):
Ba: 0.0385 0.0385 0.0000
Ba: 0.1916 0.1916 0.0000
Ba: 0.8084 0.8084 0.0000
Ba: 0.9615 0.9615 0.0000
Ca: 0.0918 0.0918 0.0000
Ca: 0.1397 0.1397 0.0000
Ca: 0.8603 0.8603 0.0000
Ca: 0.9082 0.9082 0.0000
Tl: 0.2667 0.2667 0.0000
Tl: 0.5000 0.5000 0.0000
Tl: 0.7333 0.7333 0.0000
Cu: 0.3381 0.3381 0.0000
Cu: 0.3835 0.3835 0.0000
Cu: 0.4312 0.4312 0.0000
Cu: 0.5688 0.5688 0.0000
Cu: 0.6165 0.6165 0.0000
Cu: 0.6619 0.6619 0.0000
O: 0.0000 0.0000 0.0000
O: 0.0713 0.5713 0.5000
O: 0.1170 0.6170 0.5000
O: 0.1626 0.6626 0.5000
O: 0.2364 0.2364 0.0000
O: 0.2962 0.2962 0.0000
O: 0.3374 0.8374 0.5000
O: 0.3830 0.8830 0.5000
O: 0.4287 0.9287 0.5000
O: 0.4696 0.4696 0.0000
O: 0.5304 0.5304 0.0000
O: 0.5713 0.0713 0.5000
O: 0.6170 0.1170 0.5000
O: 0.6626 0.1626 0.5000
O: 0.7038 0.7038 0.0000
O: 0.7636 0.7636 0.0000
O: 0.8374 0.3374 0.5000
O: 0.8830 0.3830 0.5000
O: 0.9287 0.4287 0.5000

Largest 10 diffraction maxima, in order of rising 2θ, 2θ from 10° to 90°:
2θ (°)	I_rel
25.8	35
28.5	100
31.9	67
32.8	86
33.6	27
47.1	47
47.7	28
51.8	21
56.0	32
58.0	25


For Tb3PmCo8, a cell relaxed with PBE gives the simulated XRD peak list in this record (CuKα).

Structural model:
a b c (Å): 8.8359 8.8359 8.8359
angles (deg): 33.53 33.53 33.53
Positions (direct):
Tb: 0.0000 0.0000 0.0000
Tb: 0.1248 0.1248 0.1248
Tb: 0.6249 0.6249 0.6249
Pm: 0.4998 0.4998 0.4998
Co: 0.0593 0.5626 0.5626
Co: 0.0627 0.0627 0.5646
Co: 0.0627 0.5646 0.0627
Co: 0.3125 0.3125 0.3125
Co: 0.5626 0.0593 0.5626
Co: 0.5626 0.5626 0.0593
Co: 0.5646 0.0627 0.0627
Co: 0.8121 0.8121 0.8121

Largest 10 diffraction maxima, in order of rising 2θ, 2θ from 10° to 90°:
2θ (°)	I_rel
21.3	13
35.2	65
41.5	100
43.5	15
55.5	4
63.2	24
67.5	30
74.4	22
85.1	11
89.0	11


For Pu3Bi2O, a cell relaxed with PBE gives the simulated XRD peak list in this record (CuKα).

Structural model:
a b c (Å): 8.0265 4.0768 19.1277
angles (deg): 90.00 90.00 90.00
Positions (direct):
Pu: 0.0352 0.2500 0.1739
Pu: 0.1235 0.2500 0.3432
Pu: 0.1607 0.2500 0.5386
Pu: 0.3393 0.7500 0.0386
Pu: 0.3765 0.7500 0.8432
Pu: 0.4648 0.7500 0.6739
Pu: 0.5352 0.2500 0.3261
Pu: 0.6235 0.2500 0.1568
Pu: 0.6607 0.2500 0.9614
Pu: 0.8393 0.7500 0.4614
Pu: 0.8765 0.7500 0.6568
Pu: 0.9648 0.7500 0.8261
Bi: 0.1245 0.2500 0.9373
Bi: 0.1675 0.2500 0.7179
Bi: 0.3325 0.7500 0.2179
Bi: 0.3755 0.7500 0.4373
Bi: 0.6245 0.2500 0.5627
Bi: 0.6675 0.2500 0.7821
Bi: 0.8325 0.7500 0.2821
Bi: 0.8755 0.7500 0.0627
O: 0.0191 0.7500 0.5562
O: 0.4809 0.2500 0.0562
O: 0.5191 0.7500 0.9438
O: 0.9809 0.2500 0.4438

Largest 10 diffraction maxima, in order of rising 2θ, 2θ from 10° to 90°:
2θ (°)	I_rel
30.2	15
31.3	100
31.6	24
32.1	89
32.3	67
34.0	15
37.6	16
44.4	29
56.0	29
64.0	19


For MgTl3Te3, a cell relaxed with PBE gives the simulated XRD peak list in this record (CuKα).

Structural model:
a b c (Å): 9.4414 8.2392 12.8461
angles (deg): 90.00 98.66 90.00
Positions (direct):
Mg: 0.1741 0.0840 0.0448
Mg: 0.1741 0.4160 0.5448
Mg: 0.8259 0.5840 0.4552
Mg: 0.8259 0.9160 0.9552
Tl: 0.0950 0.6874 0.1100
Tl: 0.0950 0.8126 0.6100
Tl: 0.2756 0.2349 0.7773
Tl: 0.2756 0.2651 0.2773
Tl: 0.4221 0.7437 0.4185
Tl: 0.4221 0.7563 0.9185
Tl: 0.5779 0.2437 0.0815
Tl: 0.5779 0.2563 0.5815
Tl: 0.7244 0.7349 0.7227
Tl: 0.7244 0.7651 0.2227
Tl: 0.9050 0.1874 0.3900
Tl: 0.9050 0.3126 0.8900
Te: 0.0773 0.5894 0.3588
Te: 0.0773 0.9106 0.8588
Te: 0.2543 0.0991 0.5030
Te: 0.2543 0.4009 0.0030
Te: 0.3991 0.5844 0.6646
Te: 0.3991 0.9156 0.1646
Te: 0.6009 0.0844 0.8354
Te: 0.6009 0.4156 0.3354
Te: 0.7457 0.5991 0.9970
Te: 0.7457 0.9009 0.4970
Te: 0.9227 0.0894 0.1412
Te: 0.9227 0.4106 0.6412

Largest 10 diffraction maxima, in order of rising 2θ, 2θ from 10° to 90°:
2θ (°)	I_rel
21.0	45
21.6	26
23.6	25
23.9	30
24.2	34
30.3	95
30.7	100
30.9	76
36.6	35
37.5	66


For NbCo2P, a cell relaxed with PBE gives the simulated XRD peak list in this record (CuKα).

Structural model:
a b c (Å): 13.1043 6.3227 4.7629
angles (deg): 90.00 90.00 90.00
Positions (direct):
Nb: 0.1089 0.2500 0.2418
Nb: 0.1385 0.7500 0.0250
Nb: 0.3615 0.2500 0.5250
Nb: 0.3911 0.7500 0.7418
Nb: 0.6089 0.2500 0.2582
Nb: 0.6385 0.7500 0.4750
Nb: 0.8615 0.2500 0.9750
Nb: 0.8911 0.7500 0.7582
Co: 0.0356 0.0517 0.7538
Co: 0.0356 0.4483 0.7538
Co: 0.2139 0.5520 0.5352
Co: 0.2139 0.9480 0.5352
Co: 0.2861 0.0520 0.0352
Co: 0.2861 0.4480 0.0352
Co: 0.4644 0.5517 0.2538
Co: 0.4644 0.9483 0.2538
Co: 0.5356 0.0517 0.7462
Co: 0.5356 0.4483 0.7462
Co: 0.7139 0.5520 0.9648
Co: 0.7139 0.9480 0.9648
Co: 0.7861 0.0520 0.4648
Co: 0.7861 0.4480 0.4648
Co: 0.9644 0.5517 0.2462
Co: 0.9644 0.9483 0.2462
P: 0.0694 0.7500 0.5191
P: 0.1820 0.2500 0.7581
P: 0.3180 0.7500 0.2581
P: 0.4306 0.2500 0.0191
P: 0.5694 0.7500 0.9809
P: 0.6820 0.2500 0.7419
P: 0.8180 0.7500 0.2419
P: 0.9306 0.2500 0.4809

Largest 10 diffraction maxima, in order of rising 2θ, 2θ from 10° to 90°:
2θ (°)	I_rel
36.8	42
39.6	89
40.0	44
40.3	38
41.9	26
42.9	100
45.7	41
49.9	27
52.5	27
74.1	26


For PrAl4Au4, a cell relaxed with PBE gives the simulated XRD peak list in this record (CuKα).

Structural model:
a b c (Å): 6.3100 6.3100 8.8503
angles (deg): 90.00 90.00 90.00
Positions (direct):
Pr: 0.2500 0.7500 0.2500
Pr: 0.7500 0.2500 0.7500
Al: 0.0252 0.2500 0.1473
Al: 0.2500 0.0252 0.6473
Al: 0.2500 0.4748 0.6473
Al: 0.4748 0.2500 0.1473
Al: 0.5252 0.7500 0.8527
Al: 0.7500 0.5252 0.3527
Al: 0.7500 0.9748 0.3527
Al: 0.9748 0.7500 0.8527
Au: 0.0273 0.2500 0.4401
Au: 0.2500 0.0273 0.9401
Au: 0.2500 0.4727 0.9401
Au: 0.4727 0.2500 0.4401
Au: 0.5273 0.7500 0.5599
Au: 0.7500 0.5273 0.0599
Au: 0.7500 0.9727 0.0599
Au: 0.9727 0.7500 0.5599

Largest 10 diffraction maxima, in order of rising 2θ, 2θ from 10° to 90°:
2θ (°)	I_rel
20.1	25
24.6	25
30.1	100
33.3	45
33.5	37
40.4	27
41.9	18
43.3	22
45.5	40
53.5	24


- Number 7 is which compound?
  NbCo2P